This entry pairs a crystal structure of Pr2Ho4Tm3 with its theoretical powder diffraction line list. Radiation: Cu Kα, 1.54184 Å. Structure: the PBE geometry in Alexandria.

Structure:
Lattice parameters (Å, degrees): 16.156 11.608 6.134 90.00 96.21 90.00
Space group C2/c (No. 15)
One atom of each set of equivalent atoms:
Pr1 0.122 0.146 0.321 [8 per cell]
Ho1 0.047 0.360 0.015 [8 per cell]
Ho2 0.217 0.139 0.848 [8 per cell]
Tm1 0.000 0.099 0.750 [4 per cell]
Tm2 0.165 0.402 0.596 [8 per cell]

Most intense lines, 10° ≤ 2θ ≤ 90°, sorted by position:
two_theta	I (rel.)
30.24	63
30.81	47
31.00	60
31.95	100
37.50	33
38.13	28
50.33	14
51.84	12
56.05	21
58.27	12